# 1
# Li2NdZn6
Simulated XRD peak list, Cu Kα (weighted mean of Kα1 and Kα2). Input: a structure optimized by DFT (PBE).
Intensities are scaled so that the largest is 100.

Main lines, by intensity (15 to 90 degrees two-theta):
d [Å]	I (rel.)
2.456	100.0
2.270	98.1
1.293	29.9
1.667	29.4
1.344	27.4
2.855	26.8
3.406	26.3
1.841	21.5
3.144	18.4
2.574	17.7

```
Li2NdZn6
1.0
7.8649 0.0000 0.0000
-3.9325 6.8112 0.0000
0.0000 0.0000 3.1444
Li Nd Zn
2 1 6
Cartesian
0.0000 4.5408 0.0000
3.9325 2.2704 0.0000
0.0000 0.0000 0.0000
-1.3511 2.3402 1.5722
-2.5814 4.4710 1.5722
2.7022 0.0000 1.5722
1.3511 2.3402 1.5722
5.1627 0.0000 1.5722
2.5814 4.4710 1.5722
```

=====

# 2
# LiNdZn17
Simulated XRD peak list, Cu Kα (weighted mean of Kα1 and Kα2). Input: a structure optimized by DFT (PBE).
Intensities are scaled so that the largest is 100.

Main lines, by intensity (15 to 90 degrees two-theta):
d [Å]	I (rel.)
2.238	100.0
2.004	74.7
2.251	59.4
2.201	51.3
2.599	33.5
2.520	29.7
1.299	27.5
2.187	23.3
1.278	20.8
1.574	19.1

```
LiNdZn17
1.0
4.5010 2.5987 4.4043
-4.5010 2.5987 4.4043
0.0000 -5.1974 4.4043
Li Nd Zn
1 1 17
Cartesian
0.0000 0.0000 0.0000
0.0000 0.0000 9.1532
0.0000 -2.6236 2.3039
-2.2721 1.3118 2.3039
-1.3116 -2.3627 4.7044
-2.7020 0.0455 4.7044
-2.3447 -1.3537 7.0828
0.0000 0.0000 3.2723
1.3116 -2.3627 4.7044
-1.3904 2.3173 4.7044
0.0000 -2.5257 6.9461
-2.1873 1.2629 6.9461
0.0000 0.0000 5.9621
2.2721 1.3118 2.3039
2.7020 0.0455 4.7044
1.3904 2.3173 4.7044
2.3447 -1.3537 7.0828
0.0000 2.7074 7.0828
2.1873 1.2629 6.9461
```

=====

# 3
# Li2Nd3Zn3
Simulated XRD peak list, Cu Kα (weighted mean of Kα1 and Kα2). Input: a structure optimized by DFT (PBE).
Intensities are scaled so that the largest is 100.

Main lines, by intensity (15 to 90 degrees two-theta):
d [Å]	I (rel.)
2.561	100.0
2.619	26.9
2.525	23.4
1.501	18.8
1.818	17.4
1.465	16.1
2.851	15.2
5.051	14.1
1.281	10.6
4.134	10.5

```
Li2Nd3Zn3
1.0
3.6091 0.0000 0.0000
0.0000 5.2384 0.0000
0.0000 0.0000 20.1992
Li Nd Zn
4 6 6
Cartesian
0.0000 0.0000 4.7090
0.0000 0.0000 15.4902
1.8046 2.6192 5.3906
1.8046 2.6192 14.8087
0.0000 0.0000 0.0000
0.0000 2.6192 2.5361
0.0000 2.6192 17.6631
1.8046 0.0000 7.5635
1.8046 0.0000 12.6357
1.8046 2.6192 10.0996
0.0000 0.0000 10.0996
0.0000 2.6192 7.4368
0.0000 2.6192 12.7624
1.8046 0.0000 2.6628
1.8046 0.0000 17.5365
1.8046 2.6192 0.0000
```

=====

# 4
# Li2NdZn
Simulated XRD peak list, Cu Kα (weighted mean of Kα1 and Kα2). Input: a structure optimized by DFT (PBE).
Intensities are scaled so that the largest is 100.

Main lines, by intensity (15 to 90 degrees two-theta):
d [Å]	I (rel.)
3.437	100.0
2.485	98.3
3.596	58.0
2.430	47.6
2.014	46.5
1.413	32.7
1.593	23.4
3.101	21.3
1.550	19.8
1.537	18.6

```
Li2NdZn
1.0
3.4367 0.0000 0.0000
0.0000 3.4367 0.0000
0.0000 0.0000 7.1929
Li Nd Zn
2 1 1
Cartesian
0.0000 0.0000 1.3180
0.0000 0.0000 5.8749
1.7183 1.7183 3.5964
1.7183 1.7183 0.0000
```